Calculated powder X-ray diffraction pattern
Compound: CdOsClO4
Radiation: copper Kα
Structure: a cell relaxed with PBE
Kinematic intensities with the Lorentz-polarization factor, no thermal factor.

Most intense lines, 2θ from 15° to 90°, in order of rising 2θ:
| Position (°2θ) | d [Å] | intensity | (hkl) |
| --- | --- | --- | --- |
| 19.7 | 4.503 | 36 | 1 1 1 |
| 23.4 | 3.801 | 100 | 0 2 0 |
| 23.8 | 3.742 | 63 | 2 0 1 |
| 25.1 | 3.546 | 54 | 1 1 -2 |
| 30.9 | 2.896 | 63 | 3 1 -1 |
| 34.7 | 2.588 | 36 | 3 1 -2 |

abc: 9.571 7.602 8.237
angles: 90.00 101.55 90.00
Space group C2/m (No. 12)
Symmetry-distinct sites (fractional):
1 Cd 0.190 0.000 0.056 [4 per cell]
2 Os 0.111 0.500 0.240 [4 per cell]
3 Cl 0.002 0.000 0.775 [4 per cell]
4 O 0.074 0.500 0.779 [4 per cell]
5 O 0.170 0.330 0.118 [8 per cell]
6 O 0.210 0.500 0.439 [4 per cell]



Calculated powder X-ray diffraction pattern
Compound: Al3Fe3Co2
Radiation: copper Kα
Structure: a cell relaxed with PBE
Kinematic intensities with the Lorentz-polarization factor, no thermal factor.

Most intense lines, 2θ from 15° to 90°, in order of rising 2θ:
| Position (°2θ) | d [Å] | intensity | (hkl) |
| --- | --- | --- | --- |
| 31.4 | 2.847 | 20 | 1 0 4 |
| 44.9 | 2.017 | 100 | 0 1 8 |
| 45.1 | 2.010 | 99 | 1 1 0 |
| 65.6 | 1.424 | 30 | 2 0 8 |
| 82.8 | 1.166 | 15 | 1 0 16 |
| 83.2 | 1.162 | 29 | 1 2 8 |

abc: 4.0196 4.0196 19.7927
angles: 90.00 90.00 120.00
Space group R3m (No. 160, hexagonal axes)
Symmetry-distinct sites (fractional):
1 Al 0.0000 0.0000 0.0000 [3 per cell]
2 Al 0.0000 0.0000 0.2491 [3 per cell]
3 Al 0.0000 0.0000 0.4988 [3 per cell]
4 Fe 0.0000 0.0000 0.3754 [3 per cell]
5 Fe 0.0000 0.0000 0.7496 [3 per cell]
6 Fe 0.0000 0.0000 0.8724 [3 per cell]
7 Co 0.0000 0.0000 0.1240 [3 per cell]
8 Co 0.0000 0.0000 0.6250 [3 per cell]